Starting from a cell relaxed with GGA-PBE, the powder diffractogram of BaH4O6 was computed for copper Kα.

Peak list (10 most intense, 5 to 70 degrees two-theta, by angle)
| two_theta | intensity |
| --- | --- |
| 13.49 | 51 |
| 14.21 | 89 |
| 17.13 | 100 |
| 17.56 | 74 |
| 18.61 | 51 |
| 20.97 | 90 |
| 21.57 | 46 |
| 27.20 | 53 |
| 29.48 | 99 |
| 38.74 | 51 |

Structure:
```
data_BaH4O6
_space_group_name_H-M_alt 'P 1'
_space_group_IT_number 1
_cell_length_a 6.3776
_cell_length_b 6.7117
_cell_length_c 6.7968
_cell_angle_alpha 100.49
_cell_angle_beta 100.71
_cell_angle_gamma 93.65
loop_
_space_group_symop_operation_xyz
'x,y,z'
loop_
_atom_site_label
_atom_site_type_symbol
_atom_site_fract_x
_atom_site_fract_y
_atom_site_fract_z
Ba1 Ba 0.0000 0.0000 0.0000
Ba2 Ba 0.3052 0.5905 0.4546
H1 H 0.0193 0.5195 0.9338
H2 H 0.1462 0.0709 0.4736
H3 H 0.4445 0.1661 0.2806
H4 H 0.4648 0.1422 0.9065
H5 H 0.4953 0.8055 0.0336
H6 H 0.7136 0.7824 0.5053
H7 H 0.7710 0.5657 0.1837
H8 H 0.9188 0.9334 0.4146
O1 O 0.0367 0.5888 0.0799
O2 O 0.0612 0.2984 0.7472
O3 O 0.0729 0.9394 0.3977
O4 O 0.2604 0.2954 0.7167
O5 O 0.3239 0.2390 0.2326
O6 O 0.4068 0.8554 0.9054
O7 O 0.5522 0.0261 0.8838
O8 O 0.6065 0.7132 0.2006
O9 O 0.6609 0.8700 0.3928
O10 O 0.7708 0.6922 0.6809
O11 O 0.8897 0.4644 0.1644
O12 O 0.9807 0.6466 0.6918
```